Theoretical powder X-ray diffraction pattern
Compound: MgHg2H
Radiation: Cu Kα
Structure: a cell relaxed with GGA-PBE
No peak broadening, texture or thermal motion is included.

Structural model:
```
data_MgHg2H
_chemical_formula_sum 'Mg2 Hg4 H2'
_cell_length_a 5.7966
_cell_length_b 5.7966
_cell_length_c 5.7966
_cell_angle_alpha 105.31
_cell_angle_beta 105.31
_cell_angle_gamma 118.16
_space_group_name_H-M_alt 'P 1'
_space_group_IT_number 1
loop_
_space_group_symop_operation_xyz
'x,y,z'
loop_
_atom_site_label
_atom_site_type_symbol
_atom_site_fract_x
_atom_site_fract_y
_atom_site_fract_z
Mg1 Mg 0.0000 0.0000 0.0000
Mg2 Mg 0.7500 0.2500 0.5000
Hg1 Hg 0.1951 0.1250 0.5701
Hg2 Hg 0.3750 0.8049 0.9299
Hg3 Hg 0.5549 0.6250 0.4299
Hg4 Hg 0.8750 0.4451 0.0701
H1 H 0.2500 0.7500 0.5000
H2 H 0.5000 0.5000 0.0000
```

Top 12 peaks for 2θ = 10–90°, in order of rising 2θ:
- 19.53 deg, rel. 14
- 25.33 deg, rel. 77
- 32.18 deg, rel. 65
- 35.12 deg, rel. 100
- 36.13 deg, rel. 28
- 41.39 deg, rel. 22
- 49.15 deg, rel. 33
- 51.27 deg, rel. 28
- 56.09 deg, rel. 17
- 67.30 deg, rel. 23
- 68.41 deg, rel. 14
- 68.55 deg, rel. 21